DyNp2ScSe4: theoretical powder X-ray diffraction pattern (Cu Kα (λ = 1.5418 Å)), based on a GGA-PBE-relaxed structure.

Atomic structure:
```
data_DyNp2ScSe4
_cell_length_a 6.9772
_cell_length_b 4.0223
_cell_length_c 7.0387
_cell_angle_alpha 90.00
_cell_angle_beta 109.20
_cell_angle_gamma 90.00
_space_group_name_H-M_alt 'P 1 2/m 1'
_space_group_IT_number 10
loop_
_space_group_symop_operation_xyz
'x,y,z'
'-x,-y,-z'
'-x,y,-z'
'x,-y,z'
loop_
_atom_site_label
_atom_site_type_symbol
_atom_site_fract_x
_atom_site_fract_y
_atom_site_fract_z
Dy1 Dy 0.0000 0.0000 0.0000
Np1 Np 0.0000 0.5000 0.5000
Np2 Np 0.5000 0.0000 0.5000
Sc1 Sc 0.5000 0.5000 0.0000
Se1 Se 0.2542 0.5000 0.2419
Se2 Se 0.2613 0.0000 0.7632
```

The 6 most intense peaks (2θ from 15° to 90°), by intensity:
hkl 1 1 1, 31.31 deg, I = 100.0
hkl 1 1 -3, 44.69 deg, I = 37.3
hkl 0 2 0, 45.04 deg, I = 36.8
hkl 2 0 0, 27.10 deg, I = 17.7
hkl 1 3 1, 74.49 deg, I = 16.6
hkl 2 2 -2, 55.92 deg, I = 13.0



Na5Hg: theoretical powder X-ray diffraction pattern (Cu Kα (λ = 1.5418 Å)), based on a GGA-PBE-relaxed structure.

Atomic structure:
```
data_Na5Hg
_cell_length_a 12.5638
_cell_length_b 4.2999
_cell_length_c 7.4553
_cell_angle_alpha 90.00
_cell_angle_beta 108.00
_cell_angle_gamma 90.00
_space_group_name_H-M_alt 'C 1 m 1'
_space_group_IT_number 8
loop_
_space_group_symop_operation_xyz
'x,y,z'
'x,-y,z'
'x+1/2,y+1/2,z'
'x+1/2,-y+1/2,z'
loop_
_atom_site_label
_atom_site_type_symbol
_atom_site_fract_x
_atom_site_fract_y
_atom_site_fract_z
Na1 Na 0.0000 0.0000 0.0000
Na2 Na 0.0082 0.0000 0.4621
Na3 Na 0.1894 0.5000 0.8422
Na4 Na 0.1984 0.5000 0.3041
Na5 Na 0.3485 0.0000 0.6525
Hg1 Hg 0.3492 0.0000 0.1518
```

The 6 most intense peaks (2θ from 15° to 90°), by intensity:
hkl 3 1 0, 30.60 deg, I = 100.0
hkl 1 1 -2, 31.77 deg, I = 90.2
hkl 2 0 -1, 16.18 deg, I = 67.2
hkl 1 1 0, 21.97 deg, I = 61.4
hkl 1 1 -1, 24.16 deg, I = 45.3
hkl 1 1 1, 26.48 deg, I = 42.0



UCoS3: theoretical powder X-ray diffraction pattern (Cu Kα (λ = 1.5418 Å)), based on a GGA-PBE-relaxed structure.

Atomic structure:
```
data_UCoS3
_cell_length_a 6.8665
_cell_length_b 8.5023
_cell_length_c 5.8910
_cell_angle_alpha 90.00
_cell_angle_beta 90.00
_cell_angle_gamma 90.00
_space_group_name_H-M_alt 'P n m a'
_space_group_IT_number 62
loop_
_space_group_symop_operation_xyz
'x,y,z'
'-x,-y,-z'
'-x+1/2,-y,z+1/2'
'x+1/2,y,-z+1/2'
'x+1/2,-y+1/2,-z+1/2'
'-x+1/2,y+1/2,z+1/2'
'-x,y+1/2,-z'
'x,-y+1/2,z'
loop_
_atom_site_label
_atom_site_type_symbol
_atom_site_fract_x
_atom_site_fract_y
_atom_site_fract_z
U1 U 0.1251 0.2500 0.0675
Co1 Co 0.0000 0.0000 0.5000
S1 S 0.0356 0.7500 0.3566
S2 S 0.1808 0.5514 0.8420
```

The 6 most intense peaks (2θ from 15° to 90°), by intensity:
hkl 1 1 1, 22.47 deg, I = 100.0
hkl 1 2 1, 28.98 deg, I = 85.4
hkl 2 1 0, 28.03 deg, I = 57.1
hkl 1 3 1, 37.58 deg, I = 44.3
hkl 1 1 2, 34.78 deg, I = 44.1
hkl 2 3 0, 41.31 deg, I = 34.9



AcPuCo: theoretical powder X-ray diffraction pattern (Cu Kα (λ = 1.5418 Å)), based on a GGA-PBE-relaxed structure.

Atomic structure:
```
data_AcPuCo
_cell_length_a 3.5791
_cell_length_b 3.5791
_cell_length_c 12.0179
_cell_angle_alpha 90.00
_cell_angle_beta 90.00
_cell_angle_gamma 90.00
_space_group_name_H-M_alt 'I 4 m m'
_space_group_IT_number 107
_space_group_name_Hall 'I 4 -2'
loop_
_atom_site_label
_atom_site_type_symbol
_atom_site_fract_x
_atom_site_fract_y
_atom_site_fract_z
Ac1 Ac 0.0000 0.0000 0.0000
Pu1 Pu 0.0000 0.0000 0.2726
Co1 Co 0.0000 0.0000 0.6963
```

The 6 most intense peaks (2θ from 15° to 90°), by intensity:
hkl 1 0 3, 33.58 deg, I = 100.0
hkl 1 1 0, 35.47 deg, I = 68.2
hkl 1 0 1, 25.98 deg, I = 64.3
hkl 1 1 4, 46.94 deg, I = 45.1
hkl 0 0 4, 29.74 deg, I = 38.4
hkl 2 1 3, 62.48 deg, I = 34.4